This entry pairs a crystal structure of AcBO3 with its calculated powder XRD pattern. Radiation: Cu Kα, 1.54184 Å. Structure: a crystal structure in Alexandria, relaxed with PBE.
Kinematic intensities with the Lorentz-polarization factor, no thermal factor.

a = 5.181 Å, b = 5.181 Å, c = 6.495 Å
α = 92.35°, β = 92.35°, γ = 120.79°
Element x y z (fractional)
Ac 0.170 0.830 0.500
Ac 0.830 0.170 0.000
B 0.472 0.518 0.244
B 0.518 0.472 0.744
O 0.217 0.264 0.304
O 0.264 0.217 0.804
O 0.443 0.765 0.204
O 0.534 0.744 0.721
O 0.744 0.534 0.221
O 0.765 0.443 0.704

Main lines, by angle (5° ≤ 2θ ≤ 70°):
2θ = 20.00°, I 245; 2θ = 23.47°, I 1000; 2θ = 24.07°, I 867; 2θ = 25.13°, I 814; 2θ = 27.56°, I 249; 2θ = 34.66°, I 448; 2θ = 42.50°, I 251; 2θ = 43.87°, I 285

This entry pairs a crystal structure of AcB3O6 with its calculated powder XRD pattern. Radiation: Cu Kα, 1.54184 Å. Structure: a crystal structure in Alexandria, relaxed with PBE.
Kinematic intensities with the Lorentz-polarization factor, no thermal factor.

a = 6.803 Å, b = 6.803 Å, c = 6.803 Å
α = 121.19°, β = 101.80°, γ = 106.12°
Element x y z (fractional)
Ac 0.250 0.250 0.000
Ac 0.750 0.750 0.000
B 0.174 0.600 0.775
B 0.250 0.750 0.500
B 0.326 0.100 0.426
B 0.674 0.900 0.574
B 0.750 0.250 0.500
B 0.826 0.400 0.225
O 0.053 0.510 0.268
O 0.175 0.044 0.219
O 0.242 0.785 0.732
O 0.258 0.990 0.543
O 0.325 0.544 0.869
O 0.447 0.715 0.457
O 0.553 0.285 0.543
O 0.675 0.456 0.131
O 0.742 0.010 0.457
O 0.758 0.215 0.268
O 0.825 0.956 0.781
O 0.947 0.490 0.732

Main lines, by angle (5° ≤ 2θ ≤ 70°):
2θ = 16.82°, I 1000; 2θ = 20.70°, I 501; 2θ = 27.61°, I 729; 2θ = 30.19°, I 566; 2θ = 34.06°, I 481; 2θ = 40.76°, I 822; 2θ = 47.71°, I 495; 2θ = 57.04°, I 377